This entry pairs a crystal structure of BaSr2Eu with its computed PXRD pattern. Radiation: Cu Kα (weighted mean of Kα1 and Kα2). Structure: a DFT-relaxed cell (PBE, the Materials Project).
Peak positions follow from Bragg's law for the DFT cell and can differ from measured ones.

The 8 most intense peaks (2θ from 10° to 90°), most intense first:
| 2θ/deg | d_spacing | I (rel.) | (hkl) |
| --- | --- | --- | --- |
| 26.30 | 3.388 | 100 | 2 2 0 |
| 46.42 | 1.956 | 42 | 4 2 2 |
| 74.02 | 1.281 | 21 | 6 4 2 |
| 37.54 | 2.396 | 20 | 4 0 0 |
| 61.16 | 1.515 | 19 | 6 2 0 |
| 54.13 | 1.694 | 13 | 4 4 0 |
| 86.09 | 1.129 | 11 | 8 2 2 |
| 18.52 | 4.792 | 6 | 2 0 0 |

Structure:
a b c (Å): 9.584 9.584 9.584
angles (deg): 90.00 90.00 90.00
Space group Fm-3m (No. 225)
Symmetry-distinct sites (fractional):
Ba 0.000 0.000 0.000 x4
Sr 0.250 0.250 0.250 x8
Eu 0.000 0.000 0.500 x4



This entry pairs a crystal structure of CsLaMgNb2O7 with its computed PXRD pattern. Radiation: Cu Kα (weighted mean of Kα1 and Kα2). Structure: a DFT-relaxed cell (PBE, the Materials Project).
Peak positions follow from Bragg's law for the DFT cell and can differ from measured ones.

The 8 most intense peaks (2θ from 10° to 90°), most intense first:
| 2θ/deg | d_spacing | I (rel.) | (hkl) |
| --- | --- | --- | --- |
| 26.23 | 3.398 | 100 | 1 0 2 |
| 30.88 | 2.896 | 75 | 1 1 0 |
| 31.02 | 2.883 | 70 | 1 0 3 |
| 44.24 | 2.047 | 44 | 2 0 0 |
| 52.16 | 1.754 | 29 | 2 1 2 |
| 55.01 | 1.669 | 28 | 2 1 3 |
| 21.90 | 4.059 | 28 | 0 0 3 |
| 48.87 | 1.864 | 23 | 1 1 5 |

Structure:
a b c (Å): 4.095 4.095 12.177
angles (deg): 90.00 90.00 90.00
Space group P4mm (No. 99)
Symmetry-distinct sites (fractional):
Cs 0.000 0.000 0.000 x1
La 0.000 0.000 0.399 x1
Mg 0.000 0.000 0.686 x1
Nb 0.500 0.500 0.247 x1
Nb 0.500 0.500 0.608 x1
O 0.000 0.500 0.280 x2
O 0.000 0.500 0.599 x2
O 0.500 0.500 0.097 x1
O 0.500 0.500 0.432 x1
O 0.500 0.500 0.762 x1



This entry pairs a crystal structure of YMg14Zr with its computed PXRD pattern. Radiation: Cu Kα (weighted mean of Kα1 and Kα2). Structure: a DFT-relaxed cell (PBE, the Materials Project).
Peak positions follow from Bragg's law for the DFT cell and can differ from measured ones.

The 8 most intense peaks (2θ from 10° to 90°), most intense first:
| 2θ/deg | d_spacing | I (rel.) | (hkl) |
| --- | --- | --- | --- |
| 36.47 | 2.464 | 100 | 2 2 2 |
| 36.07 | 2.490 | 51 | 2 0 4 |
| 34.64 | 2.589 | 38 | 4 0 0 |
| 31.95 | 2.801 | 27 | 0 2 2 |
| 17.81 | 4.980 | 23 | 1 0 2 |
| 67.89 | 1.381 | 19 | 4 2 6 |
| 63.28 | 1.470 | 19 | 6 2 2 |
| 56.38 | 1.632 | 18 | 0 2 6 |

Structure:
a b c (Å): 10.357 6.440 11.359
angles (deg): 90.00 90.00 90.00
Space group Amm2 (No. 38)
Symmetry-distinct sites (fractional):
Y 0.000 0.000 0.000 x2
Mg 0.000 0.250 0.252 x4
Mg 0.248 0.000 0.666 x4
Mg 0.253 0.000 0.169 x4
Mg 0.253 0.246 0.417 x8
Mg 0.500 0.000 0.001 x2
Mg 0.500 0.000 0.501 x2
Mg 0.500 0.250 0.250 x4
Zr 0.000 0.000 0.498 x2



This entry pairs a crystal structure of Mg6AlNi with its computed PXRD pattern. Radiation: Cu Kα (weighted mean of Kα1 and Kα2). Structure: a DFT-relaxed cell (PBE, the Materials Project).
Peak positions follow from Bragg's law for the DFT cell and can differ from measured ones.

The 8 most intense peaks (2θ from 10° to 90°), most intense first:
| 2θ/deg | d_spacing | I (rel.) | (hkl) |
| --- | --- | --- | --- |
| 39.10 | 2.304 | 100 | 1 0 4 |
| 34.27 | 2.616 | 26 | 0 2 2 |
| 37.00 | 2.430 | 26 | 2 0 0 |
| 73.88 | 1.283 | 18 | 2 4 0 |
| 68.08 | 1.377 | 18 | 3 0 4 |
| 16.94 | 5.233 | 17 | 0 0 2 |
| 61.37 | 1.511 | 16 | 0 4 0 |
| 51.32 | 1.780 | 16 | 2 2 2 |

Structure:
a b c (Å): 4.859 6.041 10.468
angles (deg): 90.00 90.00 90.00
Space group Amm2 (No. 38)
Symmetry-distinct sites (fractional):
Mg 0.000 0.000 0.000 x2
Mg 0.000 0.000 0.495 x2
Mg 0.000 0.242 0.257 x4
Mg 0.500 0.250 0.085 x4
Al 0.500 0.000 0.837 x2
Ni 0.500 0.000 0.336 x2



This entry pairs a crystal structure of H8PtN2Cl2O2 with its computed PXRD pattern. Radiation: Cu Kα (weighted mean of Kα1 and Kα2). Structure: a DFT-relaxed cell (PBE, the Materials Project).
Peak positions follow from Bragg's law for the DFT cell and can differ from measured ones.

The 8 most intense peaks (2θ from 10° to 90°), most intense first:
| 2θ/deg | d_spacing | I (rel.) | (hkl) |
| --- | --- | --- | --- |
| 17.00 | 5.216 | 100 | 0 1 1 |
| 14.77 | 5.999 | 60 | 1 0 0 |
| 20.42 | 4.348 | 46 | 1 1 -1 |
| 23.40 | 3.802 | 28 | 1 0 -2 |
| 29.64 | 3.014 | 27 | 1 2 0 |
| 24.57 | 3.623 | 24 | 1 1 1 |
| 44.43 | 2.039 | 21 | 1 0 -4 |
| 22.62 | 3.932 | 19 | 0 0 2 |

Structure:
a b c (Å): 6.239 6.971 8.178
angles (deg): 90.00 105.95 90.00
Space group P2_1/c (No. 14)
Symmetry-distinct sites (fractional):
H 0.118 0.161 0.420 x4
H 0.132 0.160 0.630 x4
H 0.181 0.611 0.281 x4
H 0.337 0.236 0.062 x4
Pt 0.000 0.000 0.000 x2
N 0.168 0.240 0.533 x4
Cl 0.336 0.661 0.619 x4
O 0.052 0.525 0.265 x4



This entry pairs a crystal structure of Sr3LiBiO6 with its computed PXRD pattern. Radiation: Cu Kα (weighted mean of Kα1 and Kα2). Structure: a DFT-relaxed cell (PBE, the Materials Project).
Peak positions follow from Bragg's law for the DFT cell and can differ from measured ones.

The 8 most intense peaks (2θ from 10° to 90°), most intense first:
| 2θ/deg | d_spacing | I (rel.) | (hkl) |
| --- | --- | --- | --- |
| 30.69 | 2.913 | 100 | 1 3 -1 |
| 18.36 | 4.831 | 97 | 2 0 0 |
| 29.10 | 3.068 | 50 | 2 2 1 |
| 42.81 | 2.113 | 35 | 2 4 1 |
| 41.44 | 2.179 | 31 | 3 3 1 |
| 31.16 | 2.870 | 31 | 0 2 2 |
| 50.58 | 1.805 | 29 | 4 2 2 |
| 25.53 | 3.489 | 29 | 2 2 0 |

Structure:
a b c (Å): 9.669 10.103 6.991
angles (deg): 90.00 93.35 90.00
Space group Cc (No. 9)
Symmetry-distinct sites (fractional):
Sr 0.000 0.074 0.000 x4
Sr 0.177 0.401 0.148 x4
Sr 0.352 0.075 0.297 x4
Li 0.166 0.239 0.669 x4
Bi 0.428 0.250 0.896 x4
O 0.047 0.421 0.476 x4
O 0.112 0.142 0.348 x4
O 0.240 0.146 0.942 x4
O 0.306 0.420 0.820 x4
O 0.414 0.185 0.605 x4
O 0.446 0.313 0.189 x4



This entry pairs a crystal structure of KLaSmSbO6 with its computed PXRD pattern. Radiation: Cu Kα (weighted mean of Kα1 and Kα2). Structure: a DFT-relaxed cell (PBE, the Materials Project).
Peak positions follow from Bragg's law for the DFT cell and can differ from measured ones.

The 8 most intense peaks (2θ from 10° to 90°), most intense first:
| 2θ/deg | d_spacing | I (rel.) | (hkl) |
| --- | --- | --- | --- |
| 29.79 | 2.999 | 100 | 2 2 0 |
| 52.87 | 1.732 | 40 | 4 2 2 |
| 42.63 | 2.121 | 32 | 4 0 0 |
| 85.69 | 1.134 | 21 | 6 4 2 |
| 61.87 | 1.500 | 19 | 4 4 0 |
| 70.16 | 1.341 | 18 | 6 2 0 |
| 18.11 | 4.898 | 12 | 1 1 1 |
| 20.94 | 4.242 | 12 | 2 0 0 |

Structure:
a b c (Å): 8.483 8.483 8.483
angles (deg): 90.00 90.00 90.00
Space group F-43m (No. 216)
Symmetry-distinct sites (fractional):
K 0.000 0.000 0.000 x4
La 0.000 0.000 0.500 x4
Sm 0.250 0.250 0.750 x4
Sb 0.250 0.250 0.250 x4
O 0.016 0.250 0.250 x24



This entry pairs a crystal structure of Ti3As4O16 with its computed PXRD pattern. Radiation: Cu Kα (weighted mean of Kα1 and Kα2). Structure: a DFT-relaxed cell (PBE, the Materials Project).
Peak positions follow from Bragg's law for the DFT cell and can differ from measured ones.

The 8 most intense peaks (2θ from 10° to 90°), most intense first:
| 2θ/deg | d_spacing | I (rel.) | (hkl) |
| --- | --- | --- | --- |
| 20.50 | 4.332 | 100 | 1 1 -1 |
| 26.68 | 3.342 | 88 | 2 1 -1 |
| 23.44 | 3.795 | 79 | 0 0 4 |
| 12.37 | 7.157 | 55 | 1 0 -2 |
| 18.47 | 4.803 | 45 | 1 0 2 |
| 24.56 | 3.625 | 36 | 1 1 -3 |
| 29.88 | 2.990 | 35 | 1 1 3 |
| 21.08 | 4.215 | 33 | 2 0 0 |

Structure:
a b c (Å): 9.117 4.949 16.417
angles (deg): 90.00 112.39 90.00
Space group P2_1/c (No. 14)
Symmetry-distinct sites (fractional):
Ti 0.000 0.000 0.000 x2
Ti 0.312 0.027 0.628 x4
As 0.067 0.062 0.399 x4
As 0.426 0.016 0.851 x4
O 0.030 0.724 0.413 x4
O 0.110 0.724 0.094 x4
O 0.119 0.140 0.318 x4
O 0.178 0.211 0.505 x4
O 0.306 0.502 0.239 x4
O 0.352 0.601 0.419 x4
O 0.402 0.140 0.152 x4
O 0.480 0.660 0.125 x4



This entry pairs a crystal structure of CePrMg2 with its computed PXRD pattern. Radiation: Cu Kα (weighted mean of Kα1 and Kα2). Structure: a DFT-relaxed cell (PBE, the Materials Project).
Peak positions follow from Bragg's law for the DFT cell and can differ from measured ones.

The 8 most intense peaks (2θ from 10° to 90°), most intense first:
| 2θ/deg | d_spacing | I (rel.) | (hkl) |
| --- | --- | --- | --- |
| 32.77 | 2.733 | 100 | 2 2 0 |
| 23.01 | 3.865 | 58 | 2 0 0 |
| 58.50 | 1.578 | 38 | 4 2 2 |
| 52.98 | 1.728 | 25 | 4 2 0 |
| 47.02 | 1.932 | 18 | 4 0 0 |
| 40.42 | 2.231 | 18 | 2 2 2 |
| 78.22 | 1.222 | 16 | 6 2 0 |
| 73.51 | 1.288 | 12 | 6 0 0 |

Structure:
a b c (Å): 7.730 7.730 7.730
angles (deg): 90.00 90.00 90.00
Space group Fm-3m (No. 225)
Symmetry-distinct sites (fractional):
Ce 0.000 0.000 0.000 x4
Pr 0.000 0.000 0.500 x4
Mg 0.250 0.250 0.250 x8